Record 1
For CdHg5Pb7, a GGA-PBE-relaxed structure gives the simulated powder diffractogram in this record (Cu Kα (λ = 1.5418 Å)).

Structural model:
```
data_CdHg5Pb7
_cell_length_a 13.9397
_cell_length_b 10.7423
_cell_length_c 5.5122
_cell_angle_alpha 90.00
_cell_angle_beta 111.52
_cell_angle_gamma 90.00
_space_group_name_H-M_alt 'C 1 m 1'
_space_group_IT_number 8
loop_
_space_group_symop_operation_xyz
'x,y,z'
'x,-y,z'
'x+1/2,y+1/2,z'
'x+1/2,-y+1/2,z'
loop_
_atom_site_label
_atom_site_fract_x
_atom_site_fract_y
_atom_site_fract_z
Cd1 0.0000 0.0000 0.0000
Hg1 0.2279 0.1918 0.1324
Hg2 0.2412 0.0000 0.7034
Hg3 0.3202 0.2868 0.7218
Pb1 0.0270 0.3470 0.0405
Pb2 0.0303 0.1663 0.5283
Pb3 0.1618 0.5000 0.6645
Pb4 0.3067 0.5000 0.2779
Pb5 0.4026 0.0000 0.4182
```

Most intense lines, 2θ = 5–70°, most intense first:
2θ/deg  I_rel  hkl
32.67  1000  1 3 1
33.09  741  3 3 -1
32.50  710  2 0 -2
31.46  403  4 2 -1
30.78  395  2 2 1
27.51  245  4 0 0
36.20  222  2 4 0
33.55  214  5 1 -1
55.54  175  5 5 0
61.80  167  2 6 -2

***

Record 2
For TlCoPb2, a GGA-PBE-relaxed structure gives the simulated powder diffractogram in this record (Cu Kα (λ = 1.5418 Å)).

Structural model:
```
data_TlCoPb2
_cell_length_a 3.2245
_cell_length_b 4.5415
_cell_length_c 13.5333
_cell_angle_alpha 90.00
_cell_angle_beta 90.00
_cell_angle_gamma 90.00
_space_group_name_H-M_alt 'I m m m'
_space_group_IT_number 71
_space_group_name_Hall '-I 2 2'
loop_
_atom_site_label
_atom_site_fract_x
_atom_site_fract_y
_atom_site_fract_z
Tl1 0.0000 0.0000 0.0000
Co1 0.0000 0.0000 0.5000
Pb1 0.0000 0.5000 0.1745
```

Most intense lines, 2θ = 5–70°, most intense first:
2θ/deg  I_rel  hkl
27.88  1000  0 1 3
36.67  844  1 1 2
43.62  509  1 0 5
28.46  339  1 0 1
39.69  306  0 2 0
39.97  285  0 0 6
65.63  216  1 1 8
64.74  199  2 1 3
57.60  198  0 2 6
34.16  192  1 0 3

***

Record 3
For NaCd2Cu, a GGA-PBE-relaxed structure gives the simulated powder diffractogram in this record (Cu Kα (λ = 1.5418 Å)).

Structural model:
```
data_NaCd2Cu
_cell_length_a 4.4283
_cell_length_b 4.4283
_cell_length_c 4.0999
_cell_angle_alpha 90.00
_cell_angle_beta 90.00
_cell_angle_gamma 90.00
_space_group_name_H-M_alt 'P 4/m m m'
_space_group_IT_number 123
_space_group_name_Hall '-P 4 2'
loop_
_atom_site_label
_atom_site_fract_x
_atom_site_fract_y
_atom_site_fract_z
Na1 0.0000 0.0000 0.0000
Cd1 0.0000 0.5000 0.5000
Cu1 0.5000 0.5000 0.0000
```

Most intense lines, 2θ = 5–70°, most intense first:
2θ/deg  I_rel  hkl
36.09  1000  1 1 1
40.75  353  2 0 0
61.66  194  2 0 2
28.51  165  1 1 0
21.68  162  0 0 1
44.18  139  0 0 2
59.00  112  2 2 0
46.62  84  2 0 1
53.42  56  1 1 2
20.05  42  1 0 0

***

Record 4
For Ce2PuFe2, a GGA-PBE-relaxed structure gives the simulated powder diffractogram in this record (Cu Kα (λ = 1.5418 Å)).

Structural model:
```
data_Ce2PuFe2
_cell_length_a 9.2702
_cell_length_b 5.7564
_cell_length_c 7.4391
_cell_angle_alpha 90.00
_cell_angle_beta 96.65
_cell_angle_gamma 90.00
_space_group_name_H-M_alt 'C 1 2/c 1'
_space_group_IT_number 15
loop_
_space_group_symop_operation_xyz
'x,y,z'
'-x,-y,-z'
'-x,y,-z+1/2'
'x,-y,z+1/2'
'x+1/2,y+1/2,z'
'-x+1/2,-y+1/2,-z'
'-x+1/2,y+1/2,-z+1/2'
'x+1/2,-y+1/2,z+1/2'
loop_
_atom_site_label
_atom_site_fract_x
_atom_site_fract_y
_atom_site_fract_z
Ce1 0.1455 0.1228 0.1531
Pu1 0.0000 0.3402 0.7500
Fe1 0.1302 0.3750 0.5035
```

Most intense lines, 2θ = 5–70°, most intense first:
2θ/deg  I_rel  hkl
33.41  1000  0 2 1
32.79  604  2 0 2
39.98  588  1 1 -3
39.59  582  2 2 1
34.07  535  3 1 -1
36.48  501  3 1 1
39.18  374  3 1 -2
33.08  313  3 1 0
60.96  268  4 2 -3
24.09  253  0 0 2

***

Record 5
For BaW4Se8, a GGA-PBE-relaxed structure gives the simulated powder diffractogram in this record (Cu Kα (λ = 1.5418 Å)).

Structural model:
```
data_BaW4Se8
_cell_length_a 17.5388
_cell_length_b 3.4701
_cell_length_c 12.1450
_cell_angle_alpha 90.00
_cell_angle_beta 130.32
_cell_angle_gamma 90.00
_space_group_name_H-M_alt 'C 1 2/m 1'
_space_group_IT_number 12
loop_
_space_group_symop_operation_xyz
'x,y,z'
'-x,-y,-z'
'-x,y,-z'
'x,-y,z'
'x+1/2,y+1/2,z'
'-x+1/2,-y+1/2,-z'
'-x+1/2,y+1/2,-z'
'x+1/2,-y+1/2,z'
loop_
_atom_site_label
_atom_site_fract_x
_atom_site_fract_y
_atom_site_fract_z
Ba1 0.0000 0.0000 0.0000
W1 0.1732 0.0000 0.4834
W2 0.1879 0.5000 0.8722
Se1 0.0440 0.0000 0.7545
Se2 0.1317 0.5000 0.5944
Se3 0.1452 0.5000 0.3057
Se4 0.1877 0.5000 0.0783
```

Most intense lines, 2θ = 5–70°, most intense first:
2θ/deg  I_rel  hkl
40.40  1000  5 1 -4
14.61  569  2 0 -2
13.24  542  2 0 0
37.78  534  3 1 1
32.70  395  3 1 0
30.15  384  3 1 -1
51.45  363  1 1 4
38.43  338  5 1 -1
34.05  297  3 1 -3
52.76  290  0 2 0

***

Record 6
For AsH3S, a GGA-PBE-relaxed structure gives the simulated powder diffractogram in this record (Cu Kα (λ = 1.5418 Å)).

Structural model:
```
data_AsH3S
_cell_length_a 4.5293
_cell_length_b 4.5293
_cell_length_c 23.5435
_cell_angle_alpha 90.00
_cell_angle_beta 90.00
_cell_angle_gamma 120.00
_space_group_name_H-M_alt 'R -3 m'
_space_group_IT_number 166
_space_group_name_Hall '-R 3 2"'
loop_
_atom_site_label
_atom_site_fract_x
_atom_site_fract_y
_atom_site_fract_z
As1 0.0000 0.0000 0.1576
H1 0.0277 0.5138 0.2473
S1 0.0000 0.0000 0.3837
```

Most intense lines, 2θ = 5–70°, most intense first:
2θ/deg  I_rel  hkl
11.27  1000  0 0 3
27.32  968  1 0 4
39.80  529  1 1 0
53.52  353  1 1 9
41.50  265  1 1 3
46.29  250  1 1 6
29.64  234  0 1 5
34.28  220  0 0 9
22.66  208  0 0 6
55.92  178  1 0 13